[1]
Structure and computed powder X-ray diffraction pattern of As2I3Cl5 (a GGA-PBE-relaxed structure; Cu Kα (λ = 1.5418 Å)).
Neutral-atom scattering factors, no anomalous dispersion.

abc: 11.2414 11.2414 11.2414
angles: 113.74 93.24 122.74
Positions (direct):
As (0.2040, 0.0345, 0.2385)
As (0.2960, 0.5345, 0.8305)
As (0.7040, 0.4655, 0.1695)
As (0.7960, 0.9655, 0.7615)
I (0.1349, 0.5264, 0.6613)
I (0.2500, 0.2500, 0.0000)
I (0.3651, 0.0264, 0.3915)
I (0.6349, 0.9736, 0.6085)
I (0.7500, 0.7500, 0.0000)
I (0.8651, 0.4736, 0.3387)
Cl (0.0823, 0.2500, 0.8323)
Cl (0.1762, 0.2089, 0.3851)
Cl (0.2500, 0.7500, 0.5000)
Cl (0.3238, 0.7089, 0.0327)
Cl (0.4177, 0.2500, 0.1677)
Cl (0.5823, 0.7500, 0.8323)
Cl (0.6762, 0.2911, 0.9673)
Cl (0.7500, 0.2500, 0.5000)
Cl (0.8238, 0.7911, 0.6149)
Cl (0.9177, 0.7500, 0.1677)

The 10 most intense peaks (2θ = 10–90°), in order of rising 2θ:
2θ (°), I (rel.)
14.4, 1000
17.6, 208
18.9, 394
20.1, 335
24.8, 197
29.1, 198
29.8, 185
33.3, 214
36.4, 262
45.0, 189

[2]
Structure and computed powder X-ray diffraction pattern of La4AsI2Cl (a GGA-PBE-relaxed structure; Cu Kα (λ = 1.5418 Å)).
Neutral-atom scattering factors, no anomalous dispersion.

abc: 7.3220 4.2741 8.3083
angles: 90.00 107.52 90.00
Positions (direct):
La (0.2287, 0.0000, 0.2019)
La (0.2585, 0.5000, 0.7956)
La (0.7415, 0.5000, 0.2044)
La (0.7713, 0.0000, 0.7981)
As (0.5000, 0.0000, 0.0000)
I (0.0000, 0.0000, 0.5000)
I (0.5000, 0.5000, 0.5000)
Cl (0.0000, 0.5000, 0.0000)

The 10 most intense peaks (2θ = 10–90°), in order of rising 2θ:
2θ (°), I (rel.)
28.5, 1000
30.6, 115
33.9, 87
38.8, 214
39.2, 105
42.3, 125
42.7, 241
51.8, 123
59.0, 93
69.6, 100

[3]
Structure and computed powder X-ray diffraction pattern of KInAsCl (a GGA-PBE-relaxed structure; Cu Kα (λ = 1.5418 Å)).
Neutral-atom scattering factors, no anomalous dispersion.

abc: 4.3472 4.3475 8.3381
angles: 75.04 74.97 60.05
Positions (direct):
K (0.0000, 0.0000, 0.0000)
In (0.8483, 0.8445, 0.4549)
As (0.5540, 0.5496, 0.3377)
Cl (0.7385, 0.7374, 0.7845)

The 10 most intense peaks (2θ = 10–90°), in order of rising 2θ:
2θ (°), I (rel.)
11.1, 996
22.3, 403
23.9, 1000
28.0, 484
35.5, 728
41.5, 626
43.1, 243
47.7, 256
48.4, 184
55.8, 220

[4]
Structure and computed powder X-ray diffraction pattern of AsIrCl (a GGA-PBE-relaxed structure; Cu Kα (λ = 1.5418 Å)).
Neutral-atom scattering factors, no anomalous dispersion.

abc: 10.6886 3.3888 7.5770
angles: 90.00 115.71 90.00
Positions (direct):
As (0.1286, 0.0000, 0.4907)
As (0.3714, 0.5000, 0.5093)
As (0.6286, 0.5000, 0.4907)
As (0.8714, 0.0000, 0.5093)
Ir (0.1289, 0.5000, 0.2631)
Ir (0.3711, 0.0000, 0.7369)
Ir (0.6289, 0.0000, 0.2631)
Ir (0.8711, 0.5000, 0.7369)
Cl (0.1170, 0.5000, 0.9354)
Cl (0.3830, 0.0000, 0.0646)
Cl (0.6170, 0.0000, 0.9354)
Cl (0.8830, 0.5000, 0.0646)

The 10 most intense peaks (2θ = 10–90°), in order of rising 2θ:
2θ (°), I (rel.)
13.0, 187
17.3, 1000
26.9, 298
27.9, 203
29.1, 622
35.6, 587
37.4, 393
46.1, 310
52.6, 282
54.2, 280

[5]
Structure and computed powder X-ray diffraction pattern of AsIrClO (a GGA-PBE-relaxed structure; Cu Kα (λ = 1.5418 Å)).
Neutral-atom scattering factors, no anomalous dispersion.

abc: 3.6805 2.8522 7.6421
angles: 90.00 103.73 90.00
Positions (direct):
As (0.0000, 0.0000, 0.0000)
Ir (0.4024, 0.0000, 0.8018)
Cl (0.7938, 0.0000, 0.5815)
O (0.0773, 0.5000, 0.1571)

The 10 most intense peaks (2θ = 10–90°), in order of rising 2θ:
2θ (°), I (rel.)
11.9, 1000
30.2, 153
30.3, 154
31.4, 184
33.7, 201
38.9, 104
39.0, 103
44.1, 169
50.8, 112
50.9, 112

[6]
Structure and computed powder X-ray diffraction pattern of KAs2Cl7 (a GGA-PBE-relaxed structure; Cu Kα (λ = 1.5418 Å)).
Neutral-atom scattering factors, no anomalous dispersion.

abc: 8.9167 8.9167 5.0654
angles: 90.00 90.00 95.88
Positions (direct):
K (0.0000, 0.0000, 0.0000)
As (0.2771, 0.2771, 0.5000)
As (0.7229, 0.7229, 0.5000)
Cl (0.0203, 0.2813, 0.5000)
Cl (0.2813, 0.0203, 0.5000)
Cl (0.2862, 0.2862, 0.0000)
Cl (0.5000, 0.5000, 0.5000)
Cl (0.7138, 0.7138, 0.0000)
Cl (0.7187, 0.9797, 0.5000)
Cl (0.9797, 0.7187, 0.5000)

The 10 most intense peaks (2θ = 10–90°), in order of rising 2θ:
2θ (°), I (rel.)
13.4, 1000
14.8, 290
17.5, 306
20.0, 146
27.8, 181
29.3, 137
30.2, 167
32.9, 150
35.4, 194
40.7, 160

[7]
Structure and computed powder X-ray diffraction pattern of K3AsCl8 (a GGA-PBE-relaxed structure; Cu Kα (λ = 1.5418 Å)).
Neutral-atom scattering factors, no anomalous dispersion.

abc: 8.8302 8.8302 8.8302
angles: 132.53 132.53 69.39
Positions (direct):
K (0.0000, 0.0000, 0.0000)
K (0.2500, 0.7500, 0.5000)
K (0.7500, 0.2500, 0.5000)
As (0.5000, 0.5000, 0.0000)
Cl (0.1716, 0.1716, 0.5629)
Cl (0.1716, 0.6087, 0.0000)
Cl (0.3913, 0.3913, 0.5629)
Cl (0.3913, 0.8284, 0.0000)
Cl (0.6087, 0.1716, 0.0000)
Cl (0.6087, 0.6087, 0.4371)
Cl (0.8284, 0.3913, 0.0000)
Cl (0.8284, 0.8284, 0.4371)

The 10 most intense peaks (2θ = 10–90°), in order of rising 2θ:
2θ (°), I (rel.)
12.2, 150
13.9, 343
21.5, 788
35.3, 1000
35.7, 481
41.4, 118
42.1, 271
51.4, 123
55.8, 114
63.9, 208

[8]
Structure and computed powder X-ray diffraction pattern of KRbAsNCl (a GGA-PBE-relaxed structure; Cu Kα (λ = 1.5418 Å)).
Neutral-atom scattering factors, no anomalous dispersion.

abc: 3.9978 3.2860 18.6264
angles: 90.00 90.00 90.00
Positions (direct):
K (0.0000, 0.0000, 0.0000)
K (0.0000, 0.5000, 0.5000)
Rb (0.0000, 0.0000, 0.2168)
Rb (0.0000, 0.5000, 0.7168)
As (0.5000, 0.0000, 0.8531)
As (0.5000, 0.5000, 0.3531)
N (0.5000, 0.0000, 0.4084)
N (0.5000, 0.5000, 0.9084)
Cl (0.5000, 0.0000, 0.6115)
Cl (0.5000, 0.5000, 0.1115)

The 10 most intense peaks (2θ = 10–90°), in order of rising 2θ:
2θ (°), I (rel.)
24.2, 246
29.4, 1000
30.8, 276
35.7, 618
36.5, 428
38.7, 152
45.4, 167
57.5, 209
59.6, 190
64.5, 189

[9]
Structure and computed powder X-ray diffraction pattern of KRbAsNCl (a GGA-PBE-relaxed structure; Cu Kα (λ = 1.5418 Å)).
Neutral-atom scattering factors, no anomalous dispersion.

abc: 5.1494 3.3426 17.2398
angles: 90.00 90.00 90.00
Positions (direct):
K (0.0000, 0.0000, 0.0000)
K (0.0000, 0.5000, 0.5000)
Rb (0.5000, 0.0000, 0.2213)
Rb (0.5000, 0.5000, 0.7213)
As (0.5000, 0.0000, 0.4254)
As (0.5000, 0.5000, 0.9254)
N (0.5000, 0.0000, 0.8692)
N (0.5000, 0.5000, 0.3692)
Cl (0.0000, 0.0000, 0.6465)
Cl (0.0000, 0.5000, 0.1465)

The 10 most intense peaks (2θ = 10–90°), in order of rising 2θ:
2θ (°), I (rel.)
17.2, 497
20.1, 849
20.6, 790
27.0, 429
32.4, 1000
34.8, 566
35.6, 660
35.8, 642
37.5, 704
52.1, 518

[10]
Structure and computed powder X-ray diffraction pattern of KAsPtCl (a GGA-PBE-relaxed structure; Cu Kα (λ = 1.5418 Å)).
Neutral-atom scattering factors, no anomalous dispersion.

abc: 3.8288 3.8390 7.8444
angles: 78.86 78.93 75.03
Positions (direct):
K (0.0000, 0.0000, 0.0000)
As (0.5776, 0.5803, 0.4211)
Pt (0.1981, 0.2004, 0.3832)
Cl (0.4998, 0.5008, 0.7800)

The 10 most intense peaks (2θ = 10–90°), in order of rising 2θ:
2θ (°), I (rel.)
11.6, 1000
23.4, 389
24.3, 189
28.6, 276
29.7, 189
31.2, 182
35.4, 148
38.6, 163
45.6, 132
50.4, 137

[11]
Structure and computed powder X-ray diffraction pattern of K2RbAsCl8 (a GGA-PBE-relaxed structure; Cu Kα (λ = 1.5418 Å)).
Neutral-atom scattering factors, no anomalous dispersion.

abc: 5.9314 7.4985 9.2868
angles: 88.23 81.44 67.61
Positions (direct):
K (0.1109, 0.0399, 0.2409)
K (0.8891, 0.9601, 0.7591)
Rb (0.5000, 0.5000, 0.0000)
As (0.5000, 0.5000, 0.5000)
Cl (0.1022, 0.7019, 0.4664)
Cl (0.1152, 0.2021, 0.9331)
Cl (0.3438, 0.3568, 0.6909)
Cl (0.4994, 0.7332, 0.6697)
Cl (0.5006, 0.2668, 0.3303)
Cl (0.6562, 0.6432, 0.3091)
Cl (0.8848, 0.7979, 0.0669)
Cl (0.8978, 0.2981, 0.5336)

The 10 most intense peaks (2θ = 10–90°), in order of rising 2θ:
2θ (°), I (rel.)
12.8, 802
16.5, 889
22.9, 725
24.4, 1000
27.3, 561
30.4, 998
30.6, 347
32.6, 618
33.0, 377
39.3, 491

[12]
Structure and computed powder X-ray diffraction pattern of La8As3Cl4 (a GGA-PBE-relaxed structure; Cu Kα (λ = 1.5418 Å)).
Neutral-atom scattering factors, no anomalous dispersion.

abc: 8.9872 8.9872 8.9872
angles: 56.67 56.67 56.67
Positions (direct):
La (0.2314, 0.7502, 0.7502)
La (0.2398, 0.2398, 0.2398)
La (0.2498, 0.2498, 0.7686)
La (0.2498, 0.7686, 0.2498)
La (0.7502, 0.2314, 0.7502)
La (0.7502, 0.7502, 0.2314)
La (0.7602, 0.7602, 0.7602)
La (0.7686, 0.2498, 0.2498)
As (0.0000, 0.0000, 0.5000)
As (0.0000, 0.5000, 0.0000)
As (0.5000, 0.0000, 0.0000)
Cl (0.0000, 0.0000, 0.0000)
Cl (0.3626, 0.3626, 0.3626)
Cl (0.5000, 0.5000, 0.5000)
Cl (0.6374, 0.6374, 0.6374)

The 10 most intense peaks (2θ = 10–90°), in order of rising 2θ:
2θ (°), I (rel.)
11.8, 156
23.7, 162
25.4, 504
28.9, 1000
40.2, 452
42.4, 432
49.1, 136
52.1, 195
66.3, 150
69.3, 160

Question: What is the formula in the eleventh record?
Answer: K2RbAsCl8